# 1
For AlGa3Ag, DFT lattice parameters and positions (GGA-PBE) gives the theoretical powder diffractogram in this record (CuKα).
Lines closer than 0.1° are merged.

Most intense lines, 2θ = 15–90°, low angle first:
- 36.97 deg, I = 100.0
- 38.19 deg, I = 52.4
- 38.37 deg, I = 61.5
- 42.17 deg, I = 38.7
- 44.49 deg, I = 62.6
- 76.07 deg, I = 38.8

Crystal structure
```
AlGa3Ag
1.0
2.953 0.000 0.000
-1.476 2.557 0.000
0.000 0.000 23.565
Al Ga Ag
2 6 2
direct
0.000 0.000 0.000
0.000 0.000 0.500
0.000 0.000 0.294
0.000 0.000 0.794
0.333 0.667 0.098
0.333 0.667 0.397
0.667 0.333 0.598
0.667 0.333 0.897
0.333 0.667 0.696
0.667 0.333 0.196
```



# 2
For Nd3Ga4, DFT lattice parameters and positions (GGA-PBE) gives the theoretical powder diffractogram in this record (CuKα).
Lines closer than 0.1° are merged.

Most intense lines, 2θ = 15–90°, low angle first:
- 29.15 deg, I = 81.1
- 31.96 deg, I = 88.5
- 33.56 deg, I = 100.0
- 37.16 deg, I = 75.6
- 37.28 deg, I = 56.0
- 42.48 deg, I = 50.5

Crystal structure
```
Nd3Ga4
1.0
2.128 -5.579 0.000
2.128 5.579 0.000
0.000 0.000 14.412
Nd Ga
6 8
direct
0.008 0.992 0.750
0.293 0.707 0.100
0.293 0.707 0.400
0.707 0.293 0.600
0.707 0.293 0.900
0.992 0.008 0.250
0.000 0.000 0.000
0.000 0.000 0.500
0.283 0.717 0.750
0.420 0.580 0.600
0.420 0.580 0.900
0.580 0.420 0.100
0.580 0.420 0.400
0.717 0.283 0.250
```



# 3
For Dy5HoEr8, DFT lattice parameters and positions (GGA-PBE) gives the theoretical powder diffractogram in this record (CuKα).
Lines closer than 0.1° are merged.

Most intense lines, 2θ = 15–90°, low angle first:
- 28.49 deg, I = 62.4
- 29.72 deg, I = 69.4
- 29.87 deg, I = 79.0
- 34.33 deg, I = 100.0
- 34.99 deg, I = 50.0
- 35.38 deg, I = 55.9

Crystal structure
```
Dy5HoEr8
1.0
-4.729 4.729 4.981
4.729 -4.729 4.981
4.729 4.729 -4.981
Dy Ho Er
5 1 8
direct
0.000 0.000 0.000
0.312 0.211 0.677
0.365 0.688 0.900
0.534 0.635 0.323
0.789 0.466 0.100
0.750 0.250 0.500
0.024 0.770 0.605
0.075 0.337 0.916
0.165 0.418 0.395
0.230 0.835 0.254
0.421 0.159 0.084
0.582 0.976 0.746
0.663 0.579 0.738
0.841 0.925 0.262
```



# 4
For Li3Br, DFT lattice parameters and positions (GGA-PBE) gives the theoretical powder diffractogram in this record (CuKα).
Lines closer than 0.1° are merged.

Most intense lines, 2θ = 15–90°, low angle first:
- 20.68 deg, I = 85.1
- 28.87 deg, I = 100.0
- 29.58 deg, I = 65.0
- 31.87 deg, I = 82.7
- 32.01 deg, I = 41.1
- 37.75 deg, I = 40.0

Crystal structure
```
Li3Br
1.0
6.245 0.000 0.000
0.000 3.588 0.000
-1.978 0.000 8.588
Li Br
6 2
direct
0.000 0.000 0.000
0.228 0.000 0.693
0.272 0.500 0.307
0.500 0.500 0.000
0.728 0.500 0.693
0.772 0.000 0.307
0.000 0.500 0.500
0.500 0.000 0.500
```



# 5
For Tl4Hg2Au, DFT lattice parameters and positions (GGA-PBE) gives the theoretical powder diffractogram in this record (CuKα).
Lines closer than 0.1° are merged.

Most intense lines, 2θ = 15–90°, low angle first:
- 25.30 deg, I = 37.0
- 30.11 deg, I = 100.0
- 30.38 deg, I = 49.5
- 33.21 deg, I = 40.2
- 39.21 deg, I = 46.8
- 45.07 deg, I = 33.8

Crystal structure
```
Tl4Hg2Au
1.0
9.563 0.000 0.000
0.000 11.197 0.000
0.000 0.000 4.022
Tl Hg Au
8 4 2
direct
0.143 0.228 0.000
0.204 0.929 0.500
0.296 0.429 0.500
0.357 0.728 0.000
0.643 0.272 0.000
0.704 0.571 0.500
0.796 0.071 0.500
0.857 0.772 0.000
0.079 0.638 0.500
0.421 0.138 0.500
0.579 0.862 0.500
0.921 0.362 0.500
0.000 0.000 0.000
0.500 0.500 0.000
```



# 6
For Ce2SmUAs4, DFT lattice parameters and positions (GGA-PBE) gives the theoretical powder diffractogram in this record (CuKα).
Lines closer than 0.1° are merged.

Most intense lines, 2θ = 15–90°, low angle first:
- 26.14 deg, I = 18.1
- 30.22 deg, I = 100.0
- 43.15 deg, I = 37.8
- 43.38 deg, I = 37.3
- 53.81 deg, I = 13.2
- 71.47 deg, I = 17.0

Crystal structure
```
Ce2SmUAs4
1.0
7.232 0.000 0.000
0.000 4.169 0.000
-2.400 0.000 6.865
Ce Sm U As
2 1 1 4
direct
0.000 0.000 0.000
0.000 0.500 0.500
0.500 0.000 0.500
0.500 0.500 0.000
0.253 0.500 0.245
0.257 0.000 0.757
0.743 0.000 0.243
0.747 0.500 0.755
```



# 7
For K5Rb5Au6, DFT lattice parameters and positions (GGA-PBE) gives the theoretical powder diffractogram in this record (CuKα).
Lines closer than 0.1° are merged.

Most intense lines, 2θ = 15–90°, low angle first:
- 17.45 deg, I = 60.4
- 21.36 deg, I = 69.3
- 24.56 deg, I = 69.9
- 29.51 deg, I = 100.0
- 30.29 deg, I = 86.1
- 38.87 deg, I = 53.7

Crystal structure
```
K5Rb5Au6
1.0
7.249 0.000 0.000
0.000 8.775 5.098
0.000 -8.775 5.098
K Rb Au
5 5 6
direct
0.000 0.000 0.000
0.249 0.063 0.396
0.249 0.396 0.063
0.751 0.063 0.396
0.751 0.396 0.063
0.000 0.466 0.730
0.000 0.730 0.466
0.500 0.465 0.465
0.500 0.732 0.994
0.500 0.994 0.732
0.000 0.124 0.734
0.000 0.332 0.332
0.000 0.734 0.124
0.500 0.126 0.126
0.500 0.335 0.731
0.500 0.731 0.335
```



# 8
For Ca6In2Ag, DFT lattice parameters and positions (GGA-PBE) gives the theoretical powder diffractogram in this record (CuKα).
Lines closer than 0.1° are merged.

Most intense lines, 2θ = 15–90°, low angle first:
- 20.49 deg, I = 27.3
- 30.95 deg, I = 100.0
- 31.44 deg, I = 17.9
- 32.18 deg, I = 54.6
- 33.15 deg, I = 35.3
- 37.18 deg, I = 18.6

Crystal structure
```
Ca6In2Ag
1.0
10.254 0.000 0.000
0.000 10.263 0.000
0.000 0.000 5.404
Ca In Ag
12 4 2
direct
0.034 0.196 0.000
0.119 0.618 0.500
0.196 0.965 0.500
0.304 0.465 0.000
0.381 0.118 0.000
0.466 0.696 0.500
0.534 0.304 0.500
0.619 0.882 0.000
0.696 0.535 0.000
0.804 0.035 0.500
0.881 0.382 0.500
0.966 0.804 0.000
0.211 0.288 0.500
0.289 0.788 0.000
0.711 0.212 0.000
0.789 0.712 0.500
0.000 0.500 0.000
0.500 0.000 0.500
```



# 9
For Pr7Zn4Cd, DFT lattice parameters and positions (GGA-PBE) gives the theoretical powder diffractogram in this record (CuKα).
Lines closer than 0.1° are merged.

Most intense lines, 2θ = 15–90°, low angle first:
- 30.39 deg, I = 100.0
- 31.15 deg, I = 33.2
- 31.84 deg, I = 22.1
- 32.86 deg, I = 27.5
- 35.51 deg, I = 46.2
- 44.05 deg, I = 25.4

Crystal structure
```
Pr7Zn4Cd
1.0
7.173 -2.944 0.000
7.173 2.944 0.000
-4.691 0.000 8.107
Pr Zn Cd
7 4 1
direct
0.000 0.000 0.000
0.223 0.223 0.683
0.313 0.313 0.119
0.427 0.427 0.596
0.573 0.573 0.404
0.687 0.687 0.881
0.777 0.777 0.317
0.015 0.015 0.677
0.187 0.187 0.338
0.813 0.813 0.662
0.985 0.985 0.323
0.500 0.500 0.000
```



# 10
For Rb2Ta15O32, DFT lattice parameters and positions (GGA-PBE) gives the theoretical powder diffractogram in this record (CuKα).
Lines closer than 0.1° are merged.

Most intense lines, 2θ = 15–90°, low angle first:
- 23.44 deg, I = 51.3
- 26.97 deg, I = 100.0
- 28.90 deg, I = 55.9
- 31.66 deg, I = 57.3
- 34.90 deg, I = 91.0
- 49.73 deg, I = 87.1

Crystal structure
```
Rb2Ta15O32
1.0
3.937 2.273 12.182
-3.937 2.273 12.182
0.000 -4.546 12.182
Rb Ta O
2 15 32
direct
0.141 0.141 0.141
0.859 0.859 0.859
0.026 0.572 0.697
0.052 0.816 0.229
0.184 0.771 0.948
0.229 0.052 0.816
0.303 0.974 0.428
0.362 0.362 0.362
0.428 0.303 0.974
0.500 0.500 0.500
0.572 0.697 0.026
0.638 0.638 0.638
0.697 0.026 0.572
0.771 0.948 0.184
0.816 0.229 0.052
0.948 0.184 0.771
0.974 0.428 0.303
0.035 0.150 0.448
0.039 0.301 0.856
0.144 0.961 0.699
0.150 0.448 0.035
0.156 0.571 0.456
0.170 0.257 0.572
0.257 0.572 0.170
0.260 0.472 0.671
0.264 0.264 0.264
0.301 0.856 0.039
0.329 0.740 0.528
0.428 0.830 0.743
0.429 0.544 0.844
0.448 0.035 0.150
0.456 0.156 0.571
0.472 0.671 0.260
0.528 0.329 0.740
0.544 0.844 0.429
0.552 0.965 0.850
0.571 0.456 0.156
0.572 0.170 0.257
0.671 0.260 0.472
0.699 0.144 0.961
0.736 0.736 0.736
0.740 0.528 0.329
0.743 0.428 0.830
0.830 0.743 0.428
0.844 0.429 0.544
0.850 0.552 0.965
0.856 0.039 0.301
0.961 0.699 0.144
0.965 0.850 0.552
```



# 11
For BaPrH6Rh2, DFT lattice parameters and positions (GGA-PBE) gives the theoretical powder diffractogram in this record (CuKα).
Lines closer than 0.1° are merged.

Most intense lines, 2θ = 15–90°, low angle first:
- 27.90 deg, I = 88.0
- 28.14 deg, I = 52.5
- 28.24 deg, I = 100.0
- 29.00 deg, I = 38.4
- 36.85 deg, I = 52.2
- 37.12 deg, I = 99.6

Crystal structure
```
BaPrH6Rh2
1.0
4.106 -5.071 0.000
4.106 5.071 0.000
-2.953 0.000 6.395
Ba Pr H Rh
2 2 12 4
direct
0.155 0.845 0.750
0.845 0.155 0.250
0.412 0.588 0.250
0.588 0.412 0.750
0.091 0.575 0.366
0.137 0.225 0.011
0.225 0.137 0.511
0.297 0.513 0.879
0.425 0.909 0.134
0.487 0.703 0.621
0.513 0.297 0.379
0.575 0.091 0.866
0.703 0.487 0.121
0.775 0.863 0.489
0.863 0.775 0.989
0.909 0.425 0.634
0.035 0.333 0.824
0.333 0.035 0.324
0.667 0.965 0.676
0.965 0.667 0.176
```



# 12
For AlBiAsO6, DFT lattice parameters and positions (GGA-PBE) gives the theoretical powder diffractogram in this record (CuKα).
Lines closer than 0.1° are merged.

Most intense lines, 2θ = 15–90°, low angle first:
- 20.50 deg, I = 28.3
- 27.83 deg, I = 100.0
- 35.89 deg, I = 26.3
- 46.02 deg, I = 24.2
- 53.08 deg, I = 30.1
- 59.70 deg, I = 23.9

Crystal structure
```
AlBiAsO6
1.0
5.004 0.000 0.000
-2.502 4.333 0.000
0.000 0.000 9.530
Al Bi As O
2 2 2 12
direct
0.333 0.667 0.250
0.667 0.333 0.750
0.000 0.000 0.000
0.000 0.000 0.500
0.333 0.667 0.750
0.667 0.333 0.250
0.007 0.376 0.643
0.007 0.631 0.857
0.369 0.376 0.857
0.369 0.993 0.643
0.376 0.007 0.143
0.376 0.369 0.357
0.624 0.631 0.643
0.624 0.993 0.857
0.631 0.007 0.357
0.631 0.624 0.143
0.993 0.369 0.143
0.993 0.624 0.357
```